The following is a simulated PXRD pattern of Li3ZnAu3. It was derived from a cell relaxed with PBE, using Cu Kα.
Lines closer than 0.1° are merged.

Principal peaks in the range 2θ from 10° to 90°, by intensity:
2theta, intensity
41.4, 100
28.3, 75
14.1, 57
29.5, 34
39.4, 29
19.4, 25
41.6, 25
72.8, 19
58.6, 18
75.7, 17

Structural model:
Lattice parameters (Å, degrees): 6.309 6.309 6.058 90.00 90.00 92.98
Atoms (fractional coordinates):
Li: 0.248 0.752 0.000
Li: 0.260 0.260 0.000
Li: 0.277 0.277 0.500
Li: 0.723 0.723 0.500
Li: 0.740 0.740 0.000
Li: 0.752 0.248 0.000
Zn: 0.247 0.753 0.500
Zn: 0.753 0.247 0.500
Au: 0.000 0.000 0.248
Au: 0.000 0.000 0.752
Au: 0.000 0.500 0.245
Au: 0.000 0.500 0.755
Au: 0.500 0.000 0.245
Au: 0.500 0.000 0.755